This entry pairs a crystal structure of Ba3Zn5In2O11 with its calculated powder XRD pattern. Radiation: Cu Kα (λ = 1.5418 Å). Structure: a structure optimized by DFT (GGA-PBE).
Peak positions follow from Bragg's law for the DFT cell and can differ from measured ones.

Most intense lines, 2θ from 10° to 80°, low angle first:
d 3.916, intensity 22, (2 2 2); d 3.112, intensity 48, (3 3 1); d 2.769, intensity 84, (4 2 2); d 2.611, intensity 100, (3 3 3); d 2.398, intensity 28, (4 4 0); d 1.900, intensity 20, (7 1 1); d 1.657, intensity 21, (7 3 3); d 1.599, intensity 71, (6 6 0); d 1.363, intensity 23, (7 7 1); d 1.311, intensity 16, (9 5 1)

Cell and atoms:
```
data_Ba3Zn5In2O11
_chemical_formula_sum 'Ba24 Zn40 In16 O88'
_space_group_name_H-M_alt 'F -4 3 m'
_space_group_IT_number 216
_space_group_name_Hall 'F -4 2 3'
_cell_length_a 13.566
_cell_length_b 13.566
_cell_length_c 13.566
_cell_angle_alpha 90.00
_cell_angle_beta 90.00
_cell_angle_gamma 90.00
loop_
_atom_site_label
_atom_site_fract_x
_atom_site_fract_y
_atom_site_fract_z
Ba1 0.000 0.000 0.207
Zn1 0.082 0.250 0.750
Zn2 0.083 0.083 0.583
In1 0.165 0.165 0.335
O1 0.000 0.000 0.000
O2 0.000 0.000 0.500
O3 0.003 0.166 0.334
O4 0.158 0.158 0.842
O5 0.169 0.169 0.169
```


This entry pairs a crystal structure of NaFeCuS2 with its calculated powder XRD pattern. Radiation: Cu Kα (λ = 1.5418 Å). Structure: a structure optimized by DFT (GGA-PBE).
Peak positions follow from Bragg's law for the DFT cell and can differ from measured ones.

Most intense lines, 2θ from 10° to 80°, low angle first:
d 6.881, intensity 100, (0 0 1); d 3.336, intensity 45, (1 0 0); d 3.002, intensity 76, (1 0 1); d 2.395, intensity 74, (0 1 2); d 1.926, intensity 76, (1 1 0); d 1.890, intensity 62, (0 1 3); d 1.855, intensity 19, (1 1 1); d 1.501, intensity 15, (2 0 2); d 1.475, intensity 20, (1 1 3); d 1.349, intensity 19, (2 0 3)

Cell and atoms:
```
data_NaFeCuS2
_chemical_formula_sum 'Na1 Fe1 Cu1 S2'
_space_group_name_H-M_alt 'P 3 m 1'
_space_group_IT_number 156
_cell_length_a 3.8522
_cell_length_b 3.8522
_cell_length_c 6.8810
_cell_angle_alpha 90.00
_cell_angle_beta 90.00
_cell_angle_gamma 120.00
loop_
_space_group_symop_operation_xyz
'x,y,z'
'-y,x-y,z'
'-x+y,-x,z'
'-y,-x,z'
'-x+y,y,z'
'x,x-y,z'
loop_
_atom_site_label
_atom_site_fract_x
_atom_site_fract_y
_atom_site_fract_z
Na1 0.0000 0.0000 0.0000
Fe1 0.6667 0.3333 0.3943
Cu1 0.3333 0.6667 0.6271
S1 0.3333 0.6667 0.2782
S2 0.6667 0.3333 0.7327
```


This entry pairs a crystal structure of NaNbO3 with its calculated powder XRD pattern. Radiation: Cu Kα (λ = 1.5418 Å). Structure: a structure optimized by DFT (GGA-PBE).
Peak positions follow from Bragg's law for the DFT cell and can differ from measured ones.

Most intense lines, 2θ from 10° to 80°, low angle first:
d 4.018, intensity 51, (0 0 1); d 3.941, intensity 89, (1 1 0); d 2.814, intensity 100, (1 1 1); d 2.787, intensity 59, (2 0 0); d 2.009, intensity 26, (0 0 2); d 1.971, intensity 42, (2 2 0); d 1.763, intensity 21, (3 1 0); d 1.630, intensity 23, (2 0 2); d 1.614, intensity 46, (3 1 1); d 1.407, intensity 25, (2 2 2)

Cell and atoms:
```
data_NaNbO3
_chemical_formula_sum 'Na2 Nb2 O6'
_space_group_name_H-M_alt 'P 4/m b m'
_space_group_IT_number 127
_space_group_name_Hall '-P 4 2ab'
_cell_length_a 5.574
_cell_length_b 5.574
_cell_length_c 4.018
_cell_angle_alpha 90.00
_cell_angle_beta 90.00
_cell_angle_gamma 90.00
loop_
_atom_site_label
_atom_site_fract_x
_atom_site_fract_y
_atom_site_fract_z
Na1 0.000 0.500 0.000
Nb1 0.000 0.000 0.500
O1 0.000 0.000 0.000
O2 0.199 0.301 0.500
```


This entry pairs a crystal structure of Cs2Mn3Se4 with its calculated powder XRD pattern. Radiation: Cu Kα (λ = 1.5418 Å). Structure: a structure optimized by DFT (GGA-PBE).
Peak positions follow from Bragg's law for the DFT cell and can differ from measured ones.

Most intense lines, 2θ from 10° to 80°, low angle first:
d 3.278, intensity 100, (1 2 3); d 3.166, intensity 11, (2 0 0); d 3.059, intensity 11, (0 4 0); d 2.909, intensity 12, (2 0 2); d 2.826, intensity 10, (0 4 2); d 2.200, intensity 25, (2 4 0); d 1.941, intensity 16, (2 0 6); d 1.916, intensity 16, (0 4 6); d 1.849, intensity 16, (3 2 3); d 1.806, intensity 17, (1 6 3)

Cell and atoms:
```
data_Cs2Mn3Se4
_chemical_formula_sum 'Cs8 Mn12 Se16'
_space_group_name_H-M_alt 'I b a m'
_space_group_IT_number 72
_space_group_name_Hall '-I 2 2c'
_cell_length_a 6.332
_cell_length_b 12.237
_cell_length_c 14.743
_cell_angle_alpha 90.00
_cell_angle_beta 90.00
_cell_angle_gamma 90.00
loop_
_atom_site_label
_atom_site_fract_x
_atom_site_fract_y
_atom_site_fract_z
Cs1 0.235 0.121 0.000
Mn1 0.000 0.230 0.250
Mn2 0.000 0.500 0.250
Se1 0.220 0.367 0.153
```


This entry pairs a crystal structure of GdMgHg2 with its calculated powder XRD pattern. Radiation: Cu Kα (λ = 1.5418 Å). Structure: a structure optimized by DFT (GGA-PBE).
Peak positions follow from Bragg's law for the DFT cell and can differ from measured ones.

Most intense lines, 2θ from 10° to 80°, low angle first:
d 4.177, intensity 11, (1 1 1); d 3.618, intensity 17, (2 0 0); d 2.558, intensity 100, (2 2 0); d 2.181, intensity 6, (3 1 1); d 2.089, intensity 5, (2 2 2); d 1.809, intensity 18, (4 0 0); d 1.618, intensity 7, (4 2 0); d 1.477, intensity 37, (4 2 2); d 1.279, intensity 12, (4 4 0); d 1.206, intensity 4, (6 0 0)

Cell and atoms:
```
data_GdMgHg2
_chemical_formula_sum 'Gd4 Mg4 Hg8'
_space_group_name_H-M_alt 'F m -3 m'
_space_group_IT_number 225
_space_group_name_Hall '-F 4 2 3'
_cell_length_a 7.235
_cell_length_b 7.235
_cell_length_c 7.235
_cell_angle_alpha 90.00
_cell_angle_beta 90.00
_cell_angle_gamma 90.00
loop_
_atom_site_label
_atom_site_fract_x
_atom_site_fract_y
_atom_site_fract_z
Gd1 0.000 0.000 0.000
Mg1 0.000 0.000 0.500
Hg1 0.250 0.250 0.250
```


This entry pairs a crystal structure of HfMg16Al12 with its calculated powder XRD pattern. Radiation: Cu Kα (λ = 1.5418 Å). Structure: a structure optimized by DFT (GGA-PBE).
Peak positions follow from Bragg's law for the DFT cell and can differ from measured ones.

Most intense lines, 2θ from 10° to 80°, low angle first:
d 7.518, intensity 87, (1 1 0); d 7.299, intensity 61, (1 0 1); d 5.237, intensity 33, (0 2 1); d 4.297, intensity 38, (2 1 1); d 2.506, intensity 55, (3 3 0); d 2.473, intensity 94, (2 3 2); d 2.433, intensity 100, (0 3 3); d 2.261, intensity 51, (5 1 1); d 2.171, intensity 29, (6 0 0); d 1.432, intensity 30, (3 6 3)

Cell and atoms:
```
data_HfMg16Al12
_chemical_formula_sum 'Hf3 Mg48 Al36'
_space_group_name_H-M_alt 'R 3 m'
_space_group_IT_number 160
_space_group_name_Hall 'R 3 -2"'
_cell_length_a 15.0362
_cell_length_b 15.0362
_cell_length_c 8.8134
_cell_angle_alpha 90.00
_cell_angle_beta 90.00
_cell_angle_gamma 120.00
loop_
_atom_site_label
_atom_site_fract_x
_atom_site_fract_y
_atom_site_fract_z
Hf1 0.0000 0.0000 0.0000
Mg1 0.0000 0.0000 0.6318
Mg2 0.0327 0.3599 0.9900
Mg3 0.1070 0.5535 0.1776
Mg4 0.1086 0.2172 0.1245
Mg5 0.1985 0.3969 0.7457
Al1 0.0013 0.1797 0.8166
Al2 0.1209 0.0604 0.3128
Al3 0.2118 0.4236 0.2261
```


This entry pairs a crystal structure of HgBiO3 with its calculated powder XRD pattern. Radiation: Cu Kα (λ = 1.5418 Å). Structure: a structure optimized by DFT (GGA-PBE).
Peak positions follow from Bragg's law for the DFT cell and can differ from measured ones.

Most intense lines, 2θ from 10° to 80°, low angle first:
d 3.059, intensity 100, (1 0 4); d 2.968, intensity 85, (1 1 0); d 2.130, intensity 42, (0 2 4); d 1.784, intensity 22, (0 1 8); d 1.730, intensity 41, (2 1 4); d 1.713, intensity 23, (3 0 0); d 1.529, intensity 15, (2 0 8); d 1.484, intensity 12, (2 2 0); d 1.359, intensity 19, (1 2 8); d 1.335, intensity 17, (1 3 4)

Cell and atoms:
```
data_HgBiO3
_chemical_formula_sum 'Hg6 Bi6 O18'
_space_group_name_H-M_alt 'R -3 c'
_space_group_IT_number 167
_space_group_name_Hall '-R 3 2"c'
_cell_length_a 5.9351
_cell_length_b 5.9351
_cell_length_c 15.2222
_cell_angle_alpha 90.00
_cell_angle_beta 90.00
_cell_angle_gamma 120.00
loop_
_atom_site_label
_atom_site_fract_x
_atom_site_fract_y
_atom_site_fract_z
Hg1 0.0000 0.0000 0.2500
Bi1 0.0000 0.0000 0.0000
O1 0.0000 0.3768 0.2500
```


This entry pairs a crystal structure of NbRu with its calculated powder XRD pattern. Radiation: Cu Kα (λ = 1.5418 Å). Structure: a structure optimized by DFT (GGA-PBE).
Peak positions follow from Bragg's law for the DFT cell and can differ from measured ones.

Most intense lines, 2θ from 10° to 80°, low angle first:
d 2.290, intensity 100, (1 0 1); d 2.166, intensity 42, (1 1 0); d 1.725, intensity 10, (0 0 2); d 1.531, intensity 14, (2 0 0); d 1.349, intensity 18, (1 1 2); d 1.273, intensity 29, (2 1 1)

Cell and atoms:
```
data_NbRu
_chemical_formula_sum 'Nb1 Ru1'
_space_group_name_H-M_alt 'P 4/m m m'
_space_group_IT_number 123
_space_group_name_Hall '-P 4 2'
_cell_length_a 3.063
_cell_length_b 3.063
_cell_length_c 3.450
_cell_angle_alpha 90.00
_cell_angle_beta 90.00
_cell_angle_gamma 90.00
loop_
_atom_site_label
_atom_site_fract_x
_atom_site_fract_y
_atom_site_fract_z
Nb1 0.000 0.000 0.000
Ru1 0.500 0.500 0.500
```


This entry pairs a crystal structure of Ca2SnS4 with its calculated powder XRD pattern. Radiation: Cu Kα (λ = 1.5418 Å). Structure: a structure optimized by DFT (GGA-PBE).
Peak positions follow from Bragg's law for the DFT cell and can differ from measured ones.

Most intense lines, 2θ from 10° to 80°, low angle first:
d 5.020, intensity 73, (1 0 1); d 3.765, intensity 100, (1 1 0); d 3.261, intensity 19, (2 0 0); d 2.720, intensity 47, (1 1 2); d 2.432, intensity 27, (1 0 3); d 2.352, intensity 22, (2 1 1); d 2.174, intensity 22, (3 0 0); d 2.043, intensity 39, (2 0 3); d 1.883, intensity 44, (2 2 0); d 1.796, intensity 21, (2 1 3)

Cell and atoms:
```
data_Ca2SnS4
_chemical_formula_sum 'Ca4 Sn2 S8'
_space_group_name_H-M_alt 'P 63 m c'
_space_group_IT_number 186
_space_group_name_Hall 'P 6c -2c'
_cell_length_a 7.5304
_cell_length_b 7.5304
_cell_length_c 7.8646
_cell_angle_alpha 90.00
_cell_angle_beta 90.00
_cell_angle_gamma 120.00
loop_
_atom_site_label
_atom_site_fract_x
_atom_site_fract_y
_atom_site_fract_z
Ca1 0.0000 0.0000 0.0000
Ca2 0.3333 0.6667 0.4964
Sn1 0.3333 0.6667 0.1065
S1 0.1658 0.3316 0.2454
S2 0.3333 0.6667 0.8193
```


Copy entry 7 word for word.
This entry pairs a crystal structure of HgBiO3 with its calculated powder XRD pattern. Radiation: Cu Kα (λ = 1.5418 Å). Structure: a structure optimized by DFT (GGA-PBE).
Peak positions follow from Bragg's law for the DFT cell and can differ from measured ones.

Most intense lines, 2θ from 10° to 80°, low angle first:
d 3.059, intensity 100, (1 0 4); d 2.968, intensity 85, (1 1 0); d 2.130, intensity 42, (0 2 4); d 1.784, intensity 22, (0 1 8); d 1.730, intensity 41, (2 1 4); d 1.713, intensity 23, (3 0 0); d 1.529, intensity 15, (2 0 8); d 1.484, intensity 12, (2 2 0); d 1.359, intensity 19, (1 2 8); d 1.335, intensity 17, (1 3 4)

Cell and atoms:
```
data_HgBiO3
_chemical_formula_sum 'Hg6 Bi6 O18'
_space_group_name_H-M_alt 'R -3 c'
_space_group_IT_number 167
_space_group_name_Hall '-R 3 2"c'
_cell_length_a 5.9351
_cell_length_b 5.9351
_cell_length_c 15.2222
_cell_angle_alpha 90.00
_cell_angle_beta 90.00
_cell_angle_gamma 120.00
loop_
_atom_site_label
_atom_site_fract_x
_atom_site_fract_y
_atom_site_fract_z
Hg1 0.0000 0.0000 0.2500
Bi1 0.0000 0.0000 0.0000
O1 0.0000 0.3768 0.2500
```